HgSb4S8: computed powder XRD pattern (Cu Ka), based on a PBE-relaxed structure.
Peak positions follow from Bragg's law for the DFT cell and can differ from measured ones.

Structure:
```
data_HgSb4S8
_symmetry_space_group_name_H-M 'C 1 2/c 1'
_symmetry_Int_Tables_number 15
_symmetry_space_group_name_Hall '-C 2yc'
_cell_length_a 22.0707
_cell_length_b 3.9689
_cell_length_c 30.6339
_cell_angle_alpha 90.00
_cell_angle_beta 104.18
_cell_angle_gamma 90.00
loop_
_atom_site_label
_atom_site_type_symbol
_atom_site_fract_x
_atom_site_fract_y
_atom_site_fract_z
_atom_site_occupancy
Hg1 Hg 0.0000 0.0000 0.0000 1
Hg2 Hg 0.0000 0.4917 0.2500 1
Sb1 Sb 0.0735 0.4728 0.1193 1
Sb2 Sb 0.0737 0.0302 0.8694 1
Sb3 Sb 0.2144 0.0670 0.7918 1
Sb4 Sb 0.2141 0.4769 0.0418 1
S1 S 0.0388 0.0143 0.6715 1
S2 S 0.0389 0.4871 0.4217 1
S3 S 0.0921 0.0080 0.5598 1
S4 S 0.0920 0.4901 0.3100 1
S5 S 0.1830 0.0066 0.9785 1
S6 S 0.1827 0.4646 0.2285 1
S7 S 0.2233 0.0261 0.6485 1
S8 S 0.2236 0.4949 0.8989 1
```

Principal peaks in the range 10° ≤ 2θ ≤ 90°, by intensity:
index	2θ/deg	I/Imax
3 1 -6	29.64	100
6 0 -4	24.91	48
1 1 6	29.78	44
4 0 0	16.57	41
6 0 -12	38.87	40
1 1 2	23.83	30
3 1 2	27.09	29
5 1 10	47.23	26